(1)
Starting from a DFT-relaxed cell (GGA+U, Alexandria), the X-ray diffraction stick pattern of NiCO3 was calculated for copper Kα.

Structure:
```
NiCO3
1.0
2.3263 1.3431 4.9616
-2.3263 1.3431 4.9616
0.0000 -2.6862 4.9616
Ni C O
2 2 6
direct
0.0000 0.0000 0.0000 Ni
0.5000 0.5000 0.5000 Ni
0.2500 0.2500 0.2500 C
0.7500 0.7500 0.7500 C
0.0286 0.7500 0.4714 O
0.2500 0.5286 0.9714 O
0.4714 0.0286 0.7500 O
0.5286 0.9714 0.2500 O
0.7500 0.4714 0.0286 O
0.9714 0.2500 0.5286 O
```

Peak list (8 most intense, 2θ = 15–90°, in order of rising 2θ)
2θ = 25.13°, intensity 46; 2θ = 32.76°, intensity 100; 2θ = 38.71°, intensity 24; 2θ = 42.94°, intensity 16; 2θ = 46.71°, intensity 22; 2θ = 54.04°, intensity 33; 2θ = 54.31°, intensity 20; 2θ = 62.22°, intensity 16

***

(2)
Starting from a DFT-relaxed cell (GGA+U, Alexandria), the X-ray diffraction stick pattern of NiC2O6 was calculated for copper Kα.

Structure:
```
NiC2O6
1.0
0.0000 4.5961 8.6929
2.6060 0.0000 8.6929
2.6060 4.5961 0.0000
Ni C O
2 4 12
direct
0.1250 0.1250 0.1250 Ni
0.8750 0.8750 0.8750 Ni
0.3303 0.3303 0.4197 C
0.4197 0.4197 0.3303 C
0.5803 0.5803 0.6697 C
0.6697 0.6697 0.5803 C
0.0688 0.6812 0.0688 O
0.0831 0.5113 0.6701 O
0.2355 0.6701 0.5113 O
0.3188 0.9312 0.3188 O
0.3299 0.7645 0.9169 O
0.4887 0.9169 0.7645 O
0.5113 0.0831 0.2355 O
0.6701 0.2355 0.0831 O
0.6812 0.0688 0.6812 O
0.7645 0.3299 0.4887 O
0.9169 0.4887 0.3299 O
0.9312 0.3188 0.9312 O
```

Peak list (8 most intense, 2θ = 15–90°, in order of rising 2θ)
2θ = 20.24°, intensity 20; 2θ = 20.43°, intensity 44; 2θ = 21.87°, intensity 100; 2θ = 24.94°, intensity 26; 2θ = 32.45°, intensity 27; 2θ = 35.98°, intensity 19; 2θ = 39.20°, intensity 26; 2θ = 46.89°, intensity 28